Entry 1:
For Li3Fe2P2C2O14, a GGA+U-relaxed structure gives the calculated XRD peak list in this record (λ = 1.5418 Å (Cu Kα)).
Lines closer than 0.1° are merged.

Atomic structure:
```
Li3Fe2P2C2O14
1.0
9.438 0.000 0.000
0.000 6.455 0.000
-4.792 0.000 9.077
Li Fe P C O
6 4 4 4 28
Cartesian
0.000 0.009 0.000 Li
-2.396 6.446 4.539 Li
-2.274 1.340 7.622 Li
0.122 5.115 3.083 Li
6.835 3.194 1.170 Li
4.439 3.262 5.708 Li
1.545 3.208 1.250 Fe
-0.851 3.247 5.789 Fe
5.370 0.003 0.040 Fe
2.975 6.452 4.579 Fe
2.343 0.010 1.312 P
-0.052 6.445 5.850 P
-0.270 3.205 9.063 P
2.126 3.250 4.525 P
4.801 0.076 6.330 C
7.196 6.379 1.792 C
4.381 3.219 8.560 C
6.777 3.236 4.021 C
-3.827 0.202 7.303 O
-1.432 6.253 2.764 O
-3.755 3.150 8.371 O
-1.360 3.305 3.832 O
-1.049 1.193 5.709 O
1.347 5.262 1.171 O
1.371 1.216 1.136 O
-1.025 5.239 5.675 O
-1.032 3.062 7.717 O
1.364 3.393 3.178 O
3.366 0.064 0.136 O
0.970 6.391 4.675 O
3.439 3.220 1.091 O
1.043 3.235 5.630 O
0.682 0.016 7.187 O
3.078 6.439 2.648 O
3.035 2.012 4.648 O
5.431 4.444 0.109 O
5.494 2.018 0.205 O
3.098 4.437 4.743 O
5.917 6.453 2.011 O
3.521 0.003 6.549 O
6.007 3.228 3.036 O
3.611 3.227 7.575 O
5.150 0.023 5.076 O
7.545 6.432 0.538 O
6.413 3.175 5.275 O
8.809 3.280 0.736 O
```

Largest 10 diffraction maxima, low angle first, 2θ = 10–90°:
2θ = 10.60°, intensity 83
2θ = 17.37°, intensity 39
2θ = 19.56°, intensity 55
2θ = 21.15°, intensity 72
2θ = 25.30°, intensity 27
2θ = 26.37°, intensity 35
2θ = 27.64°, intensity 100
2θ = 35.11°, intensity 30
2θ = 35.83°, intensity 19
2θ = 40.71°, intensity 22


Entry 2:
For CaVSnWO6, a GGA+U-relaxed structure gives the calculated XRD peak list in this record (λ = 1.5418 Å (Cu Kα)).
Lines closer than 0.1° are merged.

Atomic structure:
```
CaVSnWO6
1.0
0.000 4.014 4.014
4.014 0.000 4.014
4.014 4.014 0.000
Ca V Sn W O
1 1 1 1 6
Cartesian
0.000 0.000 0.000 Ca
2.007 2.007 2.007 V
4.014 4.014 4.014 Sn
6.021 6.021 6.021 W
6.021 6.021 4.075 O
6.021 4.075 6.021 O
7.968 6.021 6.021 O
4.075 6.021 6.021 O
6.021 7.968 6.021 O
6.021 6.021 7.968 O
```

Largest 10 diffraction maxima, low angle first, 2θ = 10–90°:
2θ = 19.15°, intensity 41
2θ = 22.15°, intensity 10
2θ = 31.52°, intensity 100
2θ = 37.14°, intensity 23
2θ = 45.18°, intensity 33
2θ = 49.49°, intensity 10
2θ = 56.12°, intensity 40
2θ = 59.86°, intensity 9
2θ = 65.80°, intensity 20
2θ = 74.79°, intensity 17


Entry 3:
For MgMn3VCr2P6O24, a GGA+U-relaxed structure gives the calculated XRD peak list in this record (λ = 1.5418 Å (Cu Kα)).
Lines closer than 0.1° are merged.

Atomic structure:
```
MgMn3VCr2P6O24
1.0
8.452 0.000 0.000
3.977 7.553 0.000
4.022 2.520 7.180
Mg Mn V Cr P O
1 3 1 2 6 24
Cartesian
0.000 0.000 0.000 Mg
5.747 6.689 3.504 Mn
6.682 2.126 5.563 Mn
9.851 4.199 6.964 Mn
10.783 4.528 1.959 V
8.155 8.120 4.471 Cr
8.370 3.200 0.948 Cr
4.049 4.165 4.845 P
2.723 1.312 1.310 P
5.347 4.832 0.602 P
8.233 4.682 4.052 P
11.237 7.866 2.777 P
13.792 8.429 6.347 P
6.312 7.872 5.253 O
5.118 5.208 4.574 O
4.528 2.647 5.031 O
3.992 4.218 0.959 O
6.855 8.236 2.758 O
1.914 0.464 0.314 O
5.802 5.818 1.651 O
9.102 8.135 6.400 O
7.648 6.169 3.929 O
4.117 1.557 0.821 O
7.180 3.635 4.289 O
10.102 8.316 3.751 O
6.448 3.731 0.409 O
9.304 4.814 5.105 O
8.816 4.363 2.604 O
12.390 8.742 5.924 O
7.456 1.383 1.600 O
10.922 6.527 2.124 O
14.521 9.691 6.851 O
9.650 4.755 0.254 O
12.603 7.772 3.470 O
12.027 4.471 6.340 O
11.439 4.107 3.768 O
10.259 2.586 1.493 O
```

Largest 10 diffraction maxima, low angle first, 2θ = 10–90°:
2θ = 20.23°, intensity 100
2θ = 23.78°, intensity 28
2θ = 23.96°, intensity 47
2θ = 24.23°, intensity 71
2θ = 32.74°, intensity 23
2θ = 32.92°, intensity 23
2θ = 33.34°, intensity 37
2θ = 33.48°, intensity 18
2θ = 35.36°, intensity 53
2θ = 35.49°, intensity 23


Entry 4:
For BaCaMn4O12, a GGA+U-relaxed structure gives the calculated XRD peak list in this record (λ = 1.5418 Å (Cu Kα)).
Lines closer than 0.1° are merged.

Atomic structure:
```
BaCaMn4O12
1.0
5.418 0.000 0.000
0.000 5.418 0.000
0.000 0.000 7.635
Ba Ca Mn O
1 1 4 12
Cartesian
0.000 0.000 0.000 Ba
2.709 2.709 3.817 Ca
0.000 2.709 1.918 Mn
0.000 2.709 5.717 Mn
2.709 0.000 1.918 Mn
2.709 0.000 5.717 Mn
0.000 2.709 0.000 O
0.000 2.709 3.817 O
1.404 1.404 2.000 O
1.404 1.404 5.634 O
1.404 4.014 2.000 O
1.404 4.014 5.634 O
2.709 0.000 0.000 O
2.709 0.000 3.817 O
4.014 1.404 2.000 O
4.014 1.404 5.634 O
4.014 4.014 2.000 O
4.014 4.014 5.634 O
```

Largest 10 diffraction maxima, low angle first, 2θ = 10–90°:
2θ = 20.10°, intensity 66
2θ = 23.25°, intensity 18
2θ = 33.11°, intensity 100
2θ = 39.00°, intensity 23
2θ = 47.47°, intensity 35
2θ = 47.64°, intensity 17
2θ = 52.09°, intensity 15
2θ = 59.10°, intensity 25
2θ = 59.22°, intensity 13
2θ = 69.53°, intensity 19


Entry 5:
For Li4Mn2Co3Sn3O16, a GGA+U-relaxed structure gives the calculated XRD peak list in this record (λ = 1.5418 Å (Cu Kα)).
Lines closer than 0.1° are merged.

Atomic structure:
```
Li4Mn2Co3Sn3O16
1.0
5.963 0.000 0.000
2.958 5.232 0.000
0.212 -0.042 9.583
Li Mn Co Sn O
4 2 3 3 16
Cartesian
0.000 0.000 0.000 Li
0.173 0.011 4.900 Li
2.888 1.551 5.871 Li
5.811 3.347 0.947 Li
2.820 1.612 0.059 Mn
5.866 3.319 5.012 Mn
1.471 0.755 2.763 Co
4.489 4.226 7.532 Co
5.957 1.649 7.532 Co
2.916 3.323 2.768 Sn
4.371 0.748 2.767 Sn
7.451 4.209 7.577 Sn
2.995 5.151 1.808 O
1.543 2.290 1.526 O
1.523 0.743 8.501 O
3.082 3.468 8.649 O
2.825 1.571 3.864 O
4.431 4.268 3.899 O
2.827 0.000 1.625 O
4.226 2.380 1.485 O
5.869 4.836 6.281 O
4.631 2.590 6.379 O
5.878 3.299 8.533 O
4.558 0.774 8.664 O
5.937 1.624 3.881 O
7.421 4.236 3.988 O
7.174 2.524 6.279 O
9.011 5.164 6.643 O
```

Largest 10 diffraction maxima, low angle first, 2θ = 10–90°:
2θ = 18.52°, intensity 100
2θ = 19.32°, intensity 58
2θ = 19.64°, intensity 44
2θ = 25.13°, intensity 18
2θ = 35.39°, intensity 17
2θ = 35.57°, intensity 33
2θ = 35.83°, intensity 25
2θ = 36.10°, intensity 29
2θ = 44.70°, intensity 27
2θ = 45.51°, intensity 25


Entry 6:
For Li9Mn2Co5O16, a GGA+U-relaxed structure gives the calculated XRD peak list in this record (λ = 1.5418 Å (Cu Kα)).
Lines closer than 0.1° are merged.

Atomic structure:
```
Li9Mn2Co5O16
1.0
5.713 0.000 0.000
2.834 5.195 0.000
2.853 -1.254 9.621
Li Mn Co O
9 2 5 16
Cartesian
0.000 0.000 0.000 Li
2.853 0.339 7.250 Li
8.548 3.602 2.371 Li
4.283 2.935 7.217 Li
7.108 2.978 7.246 Li
5.713 0.363 7.261 Li
5.688 3.578 2.360 Li
4.293 0.963 2.376 Li
7.118 1.005 2.404 Li
4.283 -0.627 4.811 Mn
4.274 2.597 0.000 Mn
1.427 -0.627 4.811 Co
1.417 2.597 0.000 Co
2.844 1.970 4.811 Co
2.857 0.000 0.000 Co
5.701 1.970 4.811 Co
4.213 1.264 5.933 O
4.242 2.734 3.736 O
5.654 2.045 8.549 O
2.827 0.079 3.690 O
2.857 1.875 1.110 O
5.743 3.780 5.960 O
4.441 -0.560 8.551 O
4.319 4.240 1.022 O
7.083 -0.299 8.599 O
6.960 4.500 1.070 O
5.658 0.160 3.661 O
8.544 2.066 8.511 O
8.575 3.861 5.931 O
5.747 1.896 1.072 O
7.159 1.207 5.885 O
7.188 2.677 3.688 O
```

Largest 10 diffraction maxima, low angle first, 2θ = 10–90°:
2θ = 18.44°, intensity 100
2θ = 34.84°, intensity 19
2θ = 36.53°, intensity 12
2θ = 36.65°, intensity 12
2θ = 41.87°, intensity 32
2θ = 44.56°, intensity 51
2θ = 62.69°, intensity 15
2θ = 62.89°, intensity 15
2θ = 64.35°, intensity 7
2θ = 65.33°, intensity 9